[1]
Diffraction record for La6PmNdY2. The powder diffractogram is theoretical, not measured: it uses a GGA-PBE-relaxed structure and λ = 1.5418 Å (Cu Kα).
Kinematic intensities with the Lorentz-polarization factor, no thermal factor.

Top 10 peaks for 15 to 90 degrees two-theta, in order of falling intensity:
| two_theta | I/Imax | (hkl) |
| --- | --- | --- |
| 29.98 | 100 | 2 2 -1 |
| 32.08 | 81 | 0 2 2 |
| 29.49 | 63 | 2 2 0 |
| 30.85 | 63 | 3 1 1 |
| 28.66 | 54 | 2 0 2 |
| 32.25 | 41 | 1 1 -3 |
| 55.39 | 39 | 6 2 -2 |
| 30.39 | 39 | 3 1 -2 |
| 30.54 | 38 | 0 0 3 |
| 26.87 | 38 | 3 1 -1 |

Crystal structure
```
data_La6PmNdY2
_cell_length_a 11.422
_cell_length_b 7.226
_cell_length_c 9.022
_cell_angle_alpha 90.00
_cell_angle_beta 103.28
_cell_angle_gamma 90.00
_symmetry_space_group_name_H-M 'C 1 2/m 1'
_symmetry_Int_Tables_number 12
loop_
_symmetry_equiv_pos_as_xyz
'x,y,z'
'-x,-y,-z'
'-x,y,-z'
'x,-y,z'
'x+1/2,y+1/2,z'
'-x+1/2,-y+1/2,-z'
'-x+1/2,y+1/2,-z'
'x+1/2,-y+1/2,z'
loop_
_atom_site_label
_atom_site_type_symbol
_atom_site_fract_x
_atom_site_fract_y
_atom_site_fract_z
La1 La 0.139 0.000 0.435
La2 La 0.178 0.278 0.802
Pm1 Pm 0.000 0.000 0.000
Nd1 Nd 0.000 0.500 0.500
Y1 Y 0.093 0.500 0.161
```

***

[2]
Diffraction record for La2Pm2Nd2Y. The powder diffractogram is theoretical, not measured: it uses a GGA-PBE-relaxed structure and λ = 1.5418 Å (Cu Kα).
Kinematic intensities with the Lorentz-polarization factor, no thermal factor.

Top 10 peaks for 15 to 90 degrees two-theta, in order of falling intensity:
| two_theta | I/Imax | (hkl) |
| --- | --- | --- |
| 29.74 | 100 | 1 1 2 |
| 34.52 | 34 | 4 0 1 |
| 49.53 | 30 | 4 2 1 |
| 34.40 | 17 | 0 2 0 |
| 58.77 | 14 | 1 3 2 |
| 58.87 | 14 | 7 1 0 |
| 58.99 | 14 | 5 1 3 |
| 80.41 | 12 | 7 3 0 |
| 61.70 | 6 | 6 2 -2 |
| 61.85 | 6 | 2 2 4 |

Crystal structure
```
data_La2Pm2Nd2Y
_cell_length_a 11.637
_cell_length_b 5.214
_cell_length_c 8.206
_cell_angle_alpha 90.00
_cell_angle_beta 98.23
_cell_angle_gamma 90.00
_symmetry_space_group_name_H-M 'C 1 2/m 1'
_symmetry_Int_Tables_number 12
loop_
_symmetry_equiv_pos_as_xyz
'x,y,z'
'-x,-y,-z'
'-x,y,-z'
'x,-y,z'
'x+1/2,y+1/2,z'
'-x+1/2,-y+1/2,-z'
'-x+1/2,y+1/2,-z'
'x+1/2,-y+1/2,z'
loop_
_atom_site_label
_atom_site_type_symbol
_atom_site_fract_x
_atom_site_fract_y
_atom_site_fract_z
La1 La 0.143 0.000 0.427
Pm1 Pm 0.215 0.500 0.140
Nd1 Nd 0.071 0.500 0.717
Y1 Y 0.000 0.000 0.000
```

***

[3]
Diffraction record for La5PrNd. The powder diffractogram is theoretical, not measured: it uses a GGA-PBE-relaxed structure and λ = 1.5418 Å (Cu Kα).
Kinematic intensities with the Lorentz-polarization factor, no thermal factor.

Top 10 peaks for 15 to 90 degrees two-theta, in order of falling intensity:
| two_theta | I/Imax | (hkl) |
| --- | --- | --- |
| 29.32 | 100 | 3 1 2 |
| 30.07 | 56 | 0 0 4 |
| 32.99 | 34 | 2 2 2 |
| 29.54 | 33 | 0 2 2 |
| 32.75 | 30 | 4 0 2 |
| 30.24 | 24 | 2 2 -1 |
| 53.98 | 23 | 6 2 2 |
| 52.94 | 17 | 3 1 6 |
| 54.66 | 16 | 3 3 4 |
| 37.19 | 14 | 2 2 3 |

Crystal structure
```
data_La5PrNd
_cell_length_a 12.320
_cell_length_b 7.026
_cell_length_c 11.888
_cell_angle_alpha 90.00
_cell_angle_beta 90.04
_cell_angle_gamma 90.00
_symmetry_space_group_name_H-M 'C 1 2/c 1'
_symmetry_Int_Tables_number 15
loop_
_symmetry_equiv_pos_as_xyz
'x,y,z'
'-x,-y,-z'
'-x,y,-z+1/2'
'x,-y,z+1/2'
'x+1/2,y+1/2,z'
'-x+1/2,-y+1/2,-z'
'-x+1/2,y+1/2,-z+1/2'
'x+1/2,-y+1/2,z+1/2'
loop_
_atom_site_label
_atom_site_type_symbol
_atom_site_fract_x
_atom_site_fract_y
_atom_site_fract_z
La1 La 0.000 0.249 0.250
La2 La 0.151 0.500 0.000
La3 La 0.220 0.081 0.750
Pr1 Pr 0.000 0.000 0.000
Nd1 Nd 0.000 0.312 0.750
```

***

[4]
Diffraction record for La5Pr12Nd2. The powder diffractogram is theoretical, not measured: it uses a GGA-PBE-relaxed structure and λ = 1.5418 Å (Cu Kα).
Kinematic intensities with the Lorentz-polarization factor, no thermal factor.

Top 10 peaks for 15 to 90 degrees two-theta, in order of falling intensity:
| two_theta | I/Imax | (hkl) |
| --- | --- | --- |
| 30.70 | 100 | 4 2 -1 |
| 29.91 | 71 | 0 4 0 |
| 31.47 | 53 | 2 2 -3 |
| 30.21 | 33 | 2 0 2 |
| 43.03 | 22 | 2 4 2 |
| 33.49 | 19 | 1 3 2 |
| 53.61 | 17 | 4 6 -1 |
| 25.76 | 15 | 1 1 2 |
| 53.48 | 14 | 6 2 1 |
| 63.94 | 10 | 8 4 -2 |

Crystal structure
```
data_La5Pr12Nd2
_cell_length_a 13.419
_cell_length_b 11.946
_cell_length_c 9.708
_cell_angle_alpha 90.00
_cell_angle_beta 116.28
_cell_angle_gamma 90.00
_symmetry_space_group_name_H-M 'C 1 2/m 1'
_symmetry_Int_Tables_number 12
loop_
_symmetry_equiv_pos_as_xyz
'x,y,z'
'-x,-y,-z'
'-x,y,-z'
'x,-y,z'
'x+1/2,y+1/2,z'
'-x+1/2,-y+1/2,-z'
'-x+1/2,y+1/2,-z'
'x+1/2,-y+1/2,z'
loop_
_atom_site_label
_atom_site_type_symbol
_atom_site_fract_x
_atom_site_fract_y
_atom_site_fract_z
La1 La 0.000 0.000 0.000
La2 La 0.186 0.500 0.729
La3 La 0.194 0.000 0.830
Pr1 Pr 0.076 0.500 0.285
Pr2 Pr 0.105 0.277 0.919
Pr3 Pr 0.118 0.000 0.445
Pr4 Pr 0.195 0.247 0.307
Nd1 Nd 0.000 0.265 0.500
```

***

[5]
Diffraction record for La8PrNd2. The powder diffractogram is theoretical, not measured: it uses a GGA-PBE-relaxed structure and λ = 1.5418 Å (Cu Kα).
Kinematic intensities with the Lorentz-polarization factor, no thermal factor.

Top 10 peaks for 15 to 90 degrees two-theta, in order of falling intensity:
| two_theta | I/Imax | (hkl) |
| --- | --- | --- |
| 29.42 | 100 | 1 1 2 |
| 34.10 | 51 | 6 0 1 |
| 58.18 | 43 | 11 1 0 |
| 49.00 | 24 | 2 0 4 |
| 79.43 | 18 | 11 3 0 |
| 61.04 | 13 | 2 2 4 |
| 48.97 | 12 | 6 2 1 |
| 81.88 | 8 | 12 2 2 |
| 81.97 | 8 | 8 0 5 |
| 71.84 | 4 | 12 0 2 |

Crystal structure
```
data_La8PrNd2
_cell_length_a 18.953
_cell_length_b 5.265
_cell_length_c 8.310
_cell_angle_alpha 90.00
_cell_angle_beta 105.25
_cell_angle_gamma 90.00
_symmetry_space_group_name_H-M 'C 1 2/m 1'
_symmetry_Int_Tables_number 12
loop_
_symmetry_equiv_pos_as_xyz
'x,y,z'
'-x,-y,-z'
'-x,y,-z'
'x,-y,z'
'x+1/2,y+1/2,z'
'-x+1/2,-y+1/2,-z'
'-x+1/2,y+1/2,-z'
'x+1/2,-y+1/2,z'
loop_
_atom_site_label
_atom_site_type_symbol
_atom_site_fract_x
_atom_site_fract_y
_atom_site_fract_z
La1 La 0.046 0.000 0.226
La2 La 0.091 0.500 0.955
La3 La 0.137 0.000 0.683
La4 La 0.182 0.500 0.411
Pr1 Pr 0.000 0.500 0.500
Nd1 Nd 0.227 0.000 0.136
```

***

[6]
Diffraction record for LaPr8Nd6. The powder diffractogram is theoretical, not measured: it uses a GGA-PBE-relaxed structure and λ = 1.5418 Å (Cu Kα).
Kinematic intensities with the Lorentz-polarization factor, no thermal factor.

Top 10 peaks for 15 to 90 degrees two-theta, in order of falling intensity:
| two_theta | I/Imax | (hkl) |
| --- | --- | --- |
| 32.15 | 100 | 1 1 2 |
| 31.18 | 87 | 3 -1 1 |
| 24.98 | 28 | 0 2 1 |
| 28.21 | 27 | 1 2 0 |
| 49.32 | 22 | 2 3 1 |
| 28.32 | 20 | 0 1 2 |
| 47.40 | 13 | 4 -1 2 |
| 63.37 | 13 | 6 -1 1 |
| 51.27 | 12 | 4 0 2 |
| 60.18 | 11 | 4 0 3 |

Crystal structure
```
data_LaPr8Nd6
_cell_length_a 9.6633
_cell_length_b 9.6633
_cell_length_c 6.8029
_cell_angle_alpha 90.00
_cell_angle_beta 90.00
_cell_angle_gamma 120.00
_symmetry_space_group_name_H-M 'P -3'
_symmetry_Int_Tables_number 147
loop_
_symmetry_equiv_pos_as_xyz
'x,y,z'
'-x,-y,-z'
'-y,x-y,z'
'y,-x+y,-z'
'-x+y,-x,z'
'x-y,x,-z'
loop_
_atom_site_label
_atom_site_type_symbol
_atom_site_fract_x
_atom_site_fract_y
_atom_site_fract_z
La1 La 0.0000 0.0000 0.0000
Pr1 Pr 0.0268 0.7392 0.6571
Pr2 Pr 0.3333 0.6667 0.6041
Nd1 Nd 0.0849 0.6553 0.1531
```

***

[7]
Diffraction record for LaPr7Nd12. The powder diffractogram is theoretical, not measured: it uses a GGA-PBE-relaxed structure and λ = 1.5418 Å (Cu Kα).
Kinematic intensities with the Lorentz-polarization factor, no thermal factor.

Top 10 peaks for 15 to 90 degrees two-theta, in order of falling intensity:
| two_theta | I/Imax | (hkl) |
| --- | --- | --- |
| 30.80 | 100 | 4 -1 2 |
| 28.84 | 67 | 1 3 1 |
| 29.21 | 44 | 0 2 4 |
| 25.82 | 19 | 1 0 4 |
| 40.73 | 19 | 5 -1 3 |
| 37.39 | 19 | 1 2 5 |
| 53.56 | 16 | 2 5 3 |
| 37.73 | 16 | 1 3 4 |
| 49.83 | 15 | 5 2 0 |
| 56.63 | 14 | 6 -3 6 |

Crystal structure
```
data_LaPr7Nd12
_cell_length_a 13.1955
_cell_length_b 13.1955
_cell_length_c 14.4760
_cell_angle_alpha 90.00
_cell_angle_beta 90.00
_cell_angle_gamma 120.00
_symmetry_space_group_name_H-M 'R -3'
_symmetry_Int_Tables_number 148
_symmetry_space_group_name_Hall '-R 3'
loop_
_atom_site_label
_atom_site_type_symbol
_atom_site_fract_x
_atom_site_fract_y
_atom_site_fract_z
La1 La 0.0000 0.0000 0.0000
Pr1 Pr 0.0000 0.0000 0.5000
Pr2 Pr 0.0664 0.1993 0.8428
Nd1 Nd 0.0010 0.4320 0.7483
Nd2 Nd 0.0664 0.8661 0.3487
```

***

[8]
Diffraction record for La2PrNd2. The powder diffractogram is theoretical, not measured: it uses a GGA-PBE-relaxed structure and λ = 1.5418 Å (Cu Kα).
Kinematic intensities with the Lorentz-polarization factor, no thermal factor.

Top 10 peaks for 15 to 90 degrees two-theta, in order of falling intensity:
| two_theta | I/Imax | (hkl) |
| --- | --- | --- |
| 29.80 | 100 | 1 0 2 |
| 29.88 | 37 | 1 0 -3 |
| 31.63 | 32 | 2 0 -1 |
| 32.04 | 27 | 0 1 2 |
| 59.81 | 20 | 1 2 2 |
| 45.64 | 20 | 2 1 -3 |
| 55.19 | 18 | 3 0 1 |
| 39.54 | 14 | 0 1 3 |
| 51.49 | 13 | 2 1 2 |
| 55.80 | 11 | 1 1 -5 |

Crystal structure
```
data_La2PrNd2
_cell_length_a 5.658
_cell_length_b 3.612
_cell_length_c 9.253
_cell_angle_alpha 90.00
_cell_angle_beta 107.69
_cell_angle_gamma 90.00
_symmetry_space_group_name_H-M 'P 1 2/m 1'
_symmetry_Int_Tables_number 10
loop_
_symmetry_equiv_pos_as_xyz
'x,y,z'
'-x,-y,-z'
'-x,y,-z'
'x,-y,z'
loop_
_atom_site_label
_atom_site_type_symbol
_atom_site_fract_x
_atom_site_fract_y
_atom_site_fract_z
La1 La 0.199 0.000 0.398
Pr1 Pr 0.000 0.000 0.000
Nd1 Nd 0.397 0.500 0.795
```

***

What did the first record say?
Diffraction record for La6PmNdY2. The powder diffractogram is theoretical, not measured: it uses a GGA-PBE-relaxed structure and λ = 1.5418 Å (Cu Kα).
Kinematic intensities with the Lorentz-polarization factor, no thermal factor.

Top 10 peaks for 15 to 90 degrees two-theta, in order of falling intensity:
| two_theta | I/Imax | (hkl) |
| --- | --- | --- |
| 29.98 | 100 | 2 2 -1 |
| 32.08 | 81 | 0 2 2 |
| 29.49 | 63 | 2 2 0 |
| 30.85 | 63 | 3 1 1 |
| 28.66 | 54 | 2 0 2 |
| 32.25 | 41 | 1 1 -3 |
| 55.39 | 39 | 6 2 -2 |
| 30.39 | 39 | 3 1 -2 |
| 30.54 | 38 | 0 0 3 |
| 26.87 | 38 | 3 1 -1 |

Crystal structure
```
data_La6PmNdY2
_cell_length_a 11.422
_cell_length_b 7.226
_cell_length_c 9.022
_cell_angle_alpha 90.00
_cell_angle_beta 103.28
_cell_angle_gamma 90.00
_symmetry_space_group_name_H-M 'C 1 2/m 1'
_symmetry_Int_Tables_number 12
loop_
_symmetry_equiv_pos_as_xyz
'x,y,z'
'-x,-y,-z'
'-x,y,-z'
'x,-y,z'
'x+1/2,y+1/2,z'
'-x+1/2,-y+1/2,-z'
'-x+1/2,y+1/2,-z'
'x+1/2,-y+1/2,z'
loop_
_atom_site_label
_atom_site_type_symbol
_atom_site_fract_x
_atom_site_fract_y
_atom_site_fract_z
La1 La 0.139 0.000 0.435
La2 La 0.178 0.278 0.802
Pm1 Pm 0.000 0.000 0.000
Nd1 Nd 0.000 0.500 0.500
Y1 Y 0.093 0.500 0.161
```